This entry pairs a crystal structure of CeNi6 with its computed PXRD pattern. Radiation: Cu Kα. Structure: DFT lattice parameters and positions (GGA-PBE).
Lines closer than 0.1° are merged.

Structure:
```
data_CeNi6
_cell_length_a 7.806
_cell_length_b 4.828
_cell_length_c 9.830
_cell_angle_alpha 90.00
_cell_angle_beta 90.00
_cell_angle_gamma 90.00
_symmetry_space_group_name_H-M 'P 1'
_symmetry_Int_Tables_number 1
loop_
_symmetry_equiv_pos_as_xyz
'x,y,z'
loop_
_atom_site_label
_atom_site_fract_x
_atom_site_fract_y
_atom_site_fract_z
Ce1 0.241 0.250 0.061
Ce2 0.259 0.750 0.561
Ce3 0.741 0.250 0.439
Ce4 0.759 0.750 0.939
Ni1 0.059 0.750 0.091
Ni2 0.066 0.006 0.308
Ni3 0.066 0.494 0.308
Ni4 0.109 0.250 0.520
Ni5 0.149 0.750 0.850
Ni6 0.184 0.250 0.759
Ni7 0.316 0.750 0.259
Ni8 0.351 0.250 0.350
Ni9 0.391 0.750 0.020
Ni10 0.434 0.506 0.808
Ni11 0.434 0.994 0.808
Ni12 0.441 0.250 0.591
Ni13 0.559 0.750 0.409
Ni14 0.566 0.006 0.192
Ni15 0.566 0.494 0.192
Ni16 0.609 0.250 0.980
Ni17 0.649 0.750 0.650
Ni18 0.684 0.250 0.741
Ni19 0.816 0.750 0.241
Ni20 0.851 0.250 0.150
Ni21 0.891 0.750 0.480
Ni22 0.934 0.506 0.692
Ni23 0.934 0.994 0.692
Ni24 0.941 0.250 0.909
```

Top 10 peaks for 5° ≤ 2θ ≤ 70°, by angle:
37.2 deg, I = 20; 38.4 deg, I = 38; 40.5 deg, I = 100; 41.7 deg, I = 16; 44.1 deg, I = 18; 45.1 deg, I = 17; 47.5 deg, I = 15; 47.6 deg, I = 29; 48.3 deg, I = 20; 69.3 deg, I = 21

This entry pairs a crystal structure of Ce3Ni with its computed PXRD pattern. Radiation: Cu Kα. Structure: DFT lattice parameters and positions (GGA-PBE).
Lines closer than 0.1° are merged.

Structure:
```
data_Ce3Ni
_cell_length_a 6.012
_cell_length_b 6.012
_cell_length_c 6.012
_cell_angle_alpha 147.69
_cell_angle_beta 64.05
_cell_angle_gamma 126.32
_symmetry_space_group_name_H-M 'P 1'
_symmetry_Int_Tables_number 1
loop_
_symmetry_equiv_pos_as_xyz
'x,y,z'
loop_
_atom_site_label
_atom_site_fract_x
_atom_site_fract_y
_atom_site_fract_z
Ce1 0.000 0.000 0.000
Ce2 0.413 0.610 0.803
Ce3 0.807 0.610 0.197
Ni1 0.421 0.921 0.500
```

Top 10 peaks for 5° ≤ 2θ ≤ 70°, by angle:
28.1 deg, I = 18; 31.0 deg, I = 52; 31.4 deg, I = 22; 33.0 deg, I = 22; 36.1 deg, I = 100; 37.5 deg, I = 28; 43.9 deg, I = 14; 52.6 deg, I = 15; 57.9 deg, I = 15; 63.5 deg, I = 17

This entry pairs a crystal structure of CeNi4 with its computed PXRD pattern. Radiation: Cu Kα. Structure: DFT lattice parameters and positions (GGA-PBE).
Lines closer than 0.1° are merged.

Structure:
```
data_CeNi4
_cell_length_a 7.234
_cell_length_b 7.234
_cell_length_c 7.234
_cell_angle_alpha 109.47
_cell_angle_beta 109.47
_cell_angle_gamma 109.47
_symmetry_space_group_name_H-M 'P 1'
_symmetry_Int_Tables_number 1
loop_
_symmetry_equiv_pos_as_xyz
'x,y,z'
loop_
_atom_site_label
_atom_site_fract_x
_atom_site_fract_y
_atom_site_fract_z
Ce1 0.000 0.000 0.458
Ce2 0.000 0.458 0.000
Ce3 0.458 0.000 0.000
Ce4 0.542 0.542 0.542
Ni1 0.000 0.000 0.798
Ni2 0.000 0.352 0.352
Ni3 0.000 0.648 0.648
Ni4 0.000 0.798 0.000
Ni5 0.202 0.202 0.202
Ni6 0.250 0.500 0.750
Ni7 0.250 0.750 0.500
Ni8 0.352 0.000 0.352
Ni9 0.352 0.352 0.000
Ni10 0.500 0.250 0.750
Ni11 0.500 0.750 0.250
Ni12 0.648 0.000 0.648
Ni13 0.648 0.648 0.000
Ni14 0.750 0.250 0.500
Ni15 0.750 0.500 0.250
Ni16 0.798 0.000 0.000
```

Top 10 peaks for 5° ≤ 2θ ≤ 70°, by angle:
30.3 deg, I = 55; 37.3 deg, I = 100; 40.4 deg, I = 43; 43.3 deg, I = 31; 46.1 deg, I = 69; 48.8 deg, I = 23; 56.1 deg, I = 14; 62.9 deg, I = 24; 67.3 deg, I = 12; 69.4 deg, I = 22

This entry pairs a crystal structure of CeNi13 with its computed PXRD pattern. Radiation: Cu Kα. Structure: DFT lattice parameters and positions (GGA-PBE).
Lines closer than 0.1° are merged.

Structure:
```
data_CeNi13
_cell_length_a 7.924
_cell_length_b 7.924
_cell_length_c 7.924
_cell_angle_alpha 60.00
_cell_angle_beta 60.00
_cell_angle_gamma 60.00
_symmetry_space_group_name_H-M 'P 1'
_symmetry_Int_Tables_number 1
loop_
_symmetry_equiv_pos_as_xyz
'x,y,z'
loop_
_atom_site_label
_atom_site_fract_x
_atom_site_fract_y
_atom_site_fract_z
Ce1 0.250 0.250 0.250
Ce2 0.750 0.750 0.750
Ni1 0.000 0.000 0.000
Ni2 0.063 0.297 0.703
Ni3 0.063 0.703 0.937
Ni4 0.063 0.937 0.297
Ni5 0.203 0.437 0.797
Ni6 0.203 0.563 0.437
Ni7 0.203 0.797 0.563
Ni8 0.297 0.063 0.937
Ni9 0.297 0.703 0.063
Ni10 0.297 0.937 0.703
Ni11 0.437 0.203 0.563
Ni12 0.437 0.563 0.797
Ni13 0.437 0.797 0.203
Ni14 0.500 0.500 0.500
Ni15 0.563 0.203 0.797
Ni16 0.563 0.437 0.203
Ni17 0.563 0.797 0.437
Ni18 0.703 0.063 0.297
Ni19 0.703 0.297 0.937
Ni20 0.703 0.937 0.063
Ni21 0.797 0.203 0.437
Ni22 0.797 0.437 0.563
Ni23 0.797 0.563 0.203
Ni24 0.937 0.063 0.703
Ni25 0.937 0.297 0.063
Ni26 0.937 0.703 0.297
```

Top 10 peaks for 5° ≤ 2θ ≤ 70°, by angle:
27.6 deg, I = 10; 35.8 deg, I = 44; 39.4 deg, I = 85; 48.0 deg, I = 100; 48.8 deg, I = 17; 51.6 deg, I = 19; 56.9 deg, I = 9; 59.5 deg, I = 13; 62.0 deg, I = 17; 69.1 deg, I = 14

This entry pairs a crystal structure of CeNpZnNi with its computed PXRD pattern. Radiation: Cu Kα. Structure: DFT lattice parameters and positions (GGA-PBE).
Lines closer than 0.1° are merged.

Structure:
```
data_CeNpZnNi
_cell_length_a 4.709
_cell_length_b 4.709
_cell_length_c 4.709
_cell_angle_alpha 60.00
_cell_angle_beta 60.00
_cell_angle_gamma 60.00
_symmetry_space_group_name_H-M 'P 1'
_symmetry_Int_Tables_number 1
loop_
_symmetry_equiv_pos_as_xyz
'x,y,z'
loop_
_atom_site_label
_atom_site_fract_x
_atom_site_fract_y
_atom_site_fract_z
Ce1 0.000 0.000 0.000
Np1 0.250 0.250 0.250
Zn1 0.750 0.750 0.750
Ni1 0.500 0.500 0.500
```

Top 9 peaks for 5° ≤ 2θ ≤ 70°, by angle:
23.1 deg, I = 28; 26.8 deg, I = 5; 38.2 deg, I = 100; 45.2 deg, I = 15; 47.3 deg, I = 1; 55.2 deg, I = 17; 60.6 deg, I = 7; 62.4 deg, I = 2; 69.1 deg, I = 35